Simulated X-ray diffraction stick pattern of Ba5Na5Rh for Cu Ka, from a PBE-relaxed structure.
No peak broadening, texture or thermal motion is included.

Cell and atoms:
Cell: 10.197 10.197 10.197 Å, 144.95 113.49 77.45°
Positions (direct):
Ba  0.000  0.000  0.000
Ba  0.053  0.361  0.692
Ba  0.332  0.639  0.692
Ba  0.668  0.361  0.308
Ba  0.947  0.639  0.308
Na  0.250  0.250  0.000
Na  0.378  0.878  0.500
Na  0.500  0.500  0.000
Na  0.622  0.122  0.500
Na  0.750  0.750  0.000
Rh  0.000  0.500  0.500

The 8 most intense peaks (2θ = 10–90°), sorted by position:
| d_spacing | Position (°2θ) | I (rel.) |
| --- | --- | --- |
| 5.729 | 15.47 | 609 |
| 4.008 | 22.18 | 1000 |
| 3.261 | 27.35 | 485 |
| 3.241 | 27.52 | 676 |
| 3.070 | 29.09 | 632 |
| 3.050 | 29.28 | 613 |
| 2.229 | 40.47 | 555 |
| 2.164 | 41.74 | 501 |

=====

Simulated X-ray diffraction stick pattern of Ba12Na6Rh for Cu Ka, from a PBE-relaxed structure.
No peak broadening, texture or thermal motion is included.

Cell and atoms:
Cell: 8.584 10.249 12.201 Å, 78.81 82.76 78.87°
Positions (direct):
Ba  0.003  0.193  0.385
Ba  0.172  0.143  0.718
Ba  0.175  0.520  0.137
Ba  0.328  0.845  0.306
Ba  0.344  0.507  0.789
Ba  0.462  0.810  0.946
Ba  0.538  0.190  0.054
Ba  0.656  0.493  0.211
Ba  0.672  0.155  0.694
Ba  0.825  0.480  0.863
Ba  0.828  0.857  0.282
Ba  0.997  0.807  0.615
Na  0.061  0.143  0.059
Na  0.238  0.479  0.475
Na  0.490  0.162  0.403
Na  0.510  0.838  0.597
Na  0.762  0.521  0.525
Na  0.939  0.857  0.941
Rh  0.500  0.500  0.000

The 8 most intense peaks (2θ = 10–90°), sorted by position:
| d_spacing | Position (°2θ) | I (rel.) |
| --- | --- | --- |
| 7.036 | 12.58 | 357 |
| 3.514 | 25.34 | 287 |
| 3.498 | 25.46 | 340 |
| 3.483 | 25.57 | 496 |
| 3.467 | 25.70 | 338 |
| 3.401 | 26.20 | 502 |
| 3.297 | 27.05 | 1000 |
| 3.129 | 28.53 | 330 |

=====

Simulated X-ray diffraction stick pattern of BaNaSr6Rh for Cu Ka, from a PBE-relaxed structure.
No peak broadening, texture or thermal motion is included.

Cell and atoms:
Cell: 8.528 7.396 7.396 Å, 70.62 90.00 90.00°
Positions (direct):
Ba  0.000  0.000  0.000
Na  0.500  0.501  0.501
Sr  0.000  0.509  0.509
Sr  0.248  0.510  0.993
Sr  0.248  0.993  0.510
Sr  0.500  0.004  0.004
Sr  0.752  0.510  0.993
Sr  0.752  0.993  0.510
Rh  0.000  0.752  0.752

The 8 most intense peaks (2θ = 10–90°), sorted by position:
| d_spacing | Position (°2θ) | I (rel.) |
| --- | --- | --- |
| 8.528 | 10.37 | 278 |
| 6.977 | 12.69 | 216 |
| 3.486 | 25.56 | 1000 |
| 3.019 | 29.59 | 964 |
| 2.135 | 42.34 | 593 |
| 1.820 | 50.11 | 460 |
| 1.743 | 52.51 | 249 |
| 1.349 | 69.69 | 159 |